Computed X-ray diffraction stick pattern of Na2MnCo2O4 for Cu Ka, from a DFT-relaxed cell (GGA+U, Alexandria).
Peak positions follow from Bragg's law for the DFT cell and can differ from measured ones.

Atomic structure:
a = 5.756 Å, b = 5.756 Å, c = 8.155 Å
α = 124.17°, β = 124.17°, γ = 33.22°
Atoms (fractional coordinates):
Na 0.185 0.185 0.305
Na 0.815 0.815 0.695
Mn 0.000 0.000 0.500
Co 0.365 0.365 0.136
Co 0.635 0.635 0.864
O 0.229 0.229 0.830
O 0.435 0.435 0.620
O 0.565 0.565 0.380
O 0.771 0.771 0.170

Largest 10 diffraction maxima, in order of rising 2θ, 15° ≤ 2θ ≤ 90°:
2theta  d (Å)  Rel. int.
16.17  5.482  100
22.19  4.007  13
34.46  2.603  42
37.91  2.373  55
42.51  2.127  31
43.64  2.074  18
52.48  1.744  13
55.88  1.645  14
57.72  1.597  13
72.63  1.302  19